For K2ZnP4H8O15, a DFT-relaxed cell (PBE, Alexandria) gives the simulated XRD peak list in this record (Cu Kα X-rays).
Intensities are scaled so that the largest is 100.

Structural model:
a b c (Å): 9.2740 12.1069 6.6670
angles (deg): 90.00 104.36 90.00
Space group C2/m (No. 12)
Unique sites:
K1 0.2071 0.0000 0.0836 x4
Zn1 0.0000 0.0000 0.5000 x2
P1 0.0120 0.2432 0.6714 x8
H1 0.1993 0.4342 0.3923 x8
H2 0.2419 0.2489 0.2405 x8
O1 0.0000 0.5000 0.0000 x2
O2 0.0108 0.1210 0.7312 x8
O3 0.1091 0.3150 0.2759 x8
O4 0.1679 0.2982 0.7736 x8
O5 0.2436 0.0000 0.5428 x4

Most intense lines, 15 to 90 degrees two-theta, in order of rising 2θ:
h k l, d [Å], intensity
2 0 0, 4.492, 31
1 1 1, 4.399, 33
2 0 -1, 4.210, 28
2 2 0, 3.607, 24
2 0 1, 3.322, 18
1 1 -2, 3.194, 28
0 4 0, 3.027, 45
3 1 -1, 2.928, 40
0 2 2, 2.849, 100
1 5 -2, 1.955, 23